Record 1
Mg6In12Pb: computed X-ray diffraction stick pattern (copper Kα), based on a structure optimized by DFT (PBE).
Lines closer than 0.1° are merged.

Peak list (12 most intense, 5 to 70 degrees two-theta, sorted by position)
Position (°2θ)  I_rel  index
20.1  21  0 1 2
22.6  18  3 0 0
28.9  100  1 3 1
31.1  38  1 1 3
34.5  17  3 2 1
36.4  26  0 3 3
38.3  32  2 3 2
40.9  15  0 2 4
41.7  20  2 4 1
42.8  34  5 0 2
45.4  18  4 1 3
68.3  18  3 5 4

Atomic structure:
Cell: 13.6005 13.6005 9.5149 Å, 90.00 90.00 120.00°
Space group R-3m (No. 166, hexagonal axes)
Unique sites:
1 Mg 0.0725 0.5363 0.2295 [18 per cell]
2 In 0.0000 0.3854 0.5000 [18 per cell]
3 In 0.0819 0.1637 0.2674 [18 per cell]
4 Pb 0.0000 0.0000 0.0000 [3 per cell]



Record 2
Mg6In3Pb: computed X-ray diffraction stick pattern (copper Kα), based on a structure optimized by DFT (PBE).
Lines closer than 0.1° are merged.

Peak list (12 most intense, 5 to 70 degrees two-theta, sorted by position)
Position (°2θ)  I_rel  index
16.5  42  2 0 0
17.8  100  1 1 1
24.1  81  1 3 1
25.5  43  3 1 0
29.5  64  3 1 1
30.0  37  1 5 0
32.1  34  2 4 1
35.4  53  1 3 2
36.0  93  2 2 2
38.4  46  4 2 1
40.9  42  4 4 0
41.7  33  1 7 0

Atomic structure:
Cell: 10.7541 15.4766 6.0453 Å, 90.00 90.00 90.00°
Space group Cmc2_1 (No. 36)
Unique sites:
1 Mg 0.0000 0.0582 0.0000 [4 per cell]
2 Mg 0.0000 0.2852 0.2602 [4 per cell]
3 Mg 0.2307 0.4940 0.2446 [8 per cell]
4 Mg 0.2377 0.1842 0.0023 [8 per cell]
5 In 0.0000 0.4593 0.4966 [4 per cell]
6 In 0.1423 0.1354 0.4820 [8 per cell]
7 Pb 0.0000 0.2795 0.7778 [4 per cell]



Record 3
Mg9In4Pb11: computed X-ray diffraction stick pattern (copper Kα), based on a structure optimized by DFT (PBE).
Lines closer than 0.1° are merged.

Peak list (12 most intense, 5 to 70 degrees two-theta, sorted by position)
Position (°2θ)  I_rel  index
19.8  49  4 0 0
22.0  28  1 5 0
25.4  32  0 0 1
25.8  26  0 6 0
32.4  100  4 0 1
32.7  81  4 6 0
33.0  25  5 5 0
33.8  33  3 7 0
36.5  74  0 6 1
55.5  23  8 6 1
57.7  22  9 5 1
63.0  26  4 6 2

Atomic structure:
Cell: 17.9132 20.7534 3.5051 Å, 90.00 90.00 90.00°
Space group Cmmm (No. 65)
Unique sites:
1 Mg 0.0000 0.0000 0.0000 [2 per cell]
2 Mg 0.1052 0.4053 0.0000 [8 per cell]
3 Mg 0.1245 0.2311 0.0000 [8 per cell]
4 In 0.1450 0.0774 0.0000 [8 per cell]
5 Pb 0.0000 0.1461 0.5000 [4 per cell]
6 Pb 0.0000 0.3119 0.5000 [4 per cell]
7 Pb 0.0000 0.5000 0.5000 [2 per cell]
8 Pb 0.2139 0.5000 0.5000 [4 per cell]
9 Pb 0.2314 0.3304 0.5000 [8 per cell]



Record 4
MgInPb: computed X-ray diffraction stick pattern (copper Kα), based on a structure optimized by DFT (PBE).
Lines closer than 0.1° are merged.

Peak list (12 most intense, 5 to 70 degrees two-theta, sorted by position)
Position (°2θ)  I_rel  index
19.7  35  0 2 1
25.1  24  1 1 0
27.4  19  0 4 1
33.0  49  0 0 2
34.0  100  1 3 1
37.1  19  0 6 1
41.9  13  1 1 2
47.4  14  0 6 2
50.2  9  2 0 0
59.6  20  1 3 3
61.4  17  2 0 2
67.4  9  1 9 2

Atomic structure:
Cell: 3.6363 16.2418 5.4276 Å, 90.00 90.00 90.00°
Space group Cmcm (No. 63)
Unique sites:
1 Mg 0.0000 0.1057 0.2500 [4 per cell]
2 In 0.0000 0.2380 0.7500 [4 per cell]
3 Pb 0.0000 0.4345 0.2500 [4 per cell]



Record 5
Mg5In3Pb3: computed X-ray diffraction stick pattern (copper Kα), based on a structure optimized by DFT (PBE).
Lines closer than 0.1° are merged.

Peak list (12 most intense, 5 to 70 degrees two-theta, sorted by position)
Position (°2θ)  I_rel  index
9.5  21  0 0 1
22.2  64  0 2 -2
25.9  44  1 0 0
26.2  100  0 1 2
30.7  20  0 3 -2
33.8  48  1 0 2
33.9  53  0 3 0
34.3  49  -1 1 2
35.2  51  0 2 -4
36.4  49  1 2 -2
37.1  46  1 -3 2
43.6  34  1 -2 4

Atomic structure:
Cell: 3.5043 8.9765 10.3201 Å, 115.73 90.08 100.04°
Space group P1 (No. 1)
Unique sites:
1 Mg 0.0000 0.0000 0.0000 [1 per cell]
2 Mg 0.0050 0.9921 0.4847 [1 per cell]
3 Mg 0.1602 0.3206 0.3457 [1 per cell]
4 Mg 0.3267 0.6565 0.2664 [1 per cell]
5 Mg 0.3326 0.6816 0.7649 [1 per cell]
6 In 0.5028 0.9882 0.2392 [1 per cell]
7 In 0.6604 0.3281 0.0924 [1 per cell]
8 In 0.8186 0.6541 0.5082 [1 per cell]
9 Pb 0.5227 0.0346 0.7584 [1 per cell]
10 Pb 0.6739 0.3421 0.6198 [1 per cell]
11 Pb 0.8100 0.6314 0.9959 [1 per cell]



Record 6
Mg4InPb: computed X-ray diffraction stick pattern (copper Kα), based on a structure optimized by DFT (PBE).
Lines closer than 0.1° are merged.

Peak list (12 most intense, 5 to 70 degrees two-theta, sorted by position)
Position (°2θ)  I_rel  index
11.2  7  0 0 1
22.4  100  2 0 0
25.9  24  1 1 1
37.0  61  0 2 0
37.1  12  2 0 2
43.7  36  3 1 -3
43.8  18  3 1 1
53.4  8  2 2 2
58.5  15  5 1 -1
58.7  7  1 1 -5
60.2  7  3 1 -5
66.6  15  6 0 -2

Atomic structure:
Cell: 8.4285 4.8626 8.4089 Å, 90.00 109.68 90.00°
Space group C2/m (No. 12)
Unique sites:
1 Mg 0.1222 0.0000 0.3675 [4 per cell]
2 Mg 0.1276 0.5000 0.8831 [4 per cell]
3 In 0.0000 0.0000 0.0000 [2 per cell]
4 Pb 0.0000 0.5000 0.5000 [2 per cell]